# 1
Starting from a cell relaxed with PBE, the PXRD pattern of Er4Tm8Mg was simulated for CuKα.
No peak broadening, texture or thermal motion is included.

```
data_Er4Tm8Mg
_space_group_name_H-M_alt 'P 1'
_space_group_IT_number 1
_cell_length_a 10.2487
_cell_length_b 10.2487
_cell_length_c 10.2487
_cell_angle_alpha 40.04
_cell_angle_beta 40.04
_cell_angle_gamma 40.04
loop_
_space_group_symop_operation_xyz
'x,y,z'
loop_
_atom_site_label
_atom_site_type_symbol
_atom_site_fract_x
_atom_site_fract_y
_atom_site_fract_z
Er1 Er 0.0000 0.0000 0.0000
Er2 Er 0.0000 0.5000 0.5000
Er3 Er 0.5000 0.0000 0.5000
Er4 Er 0.5000 0.5000 0.0000
Tm1 Tm 0.2113 0.2113 0.2113
Tm2 Tm 0.2189 0.7460 0.7460
Tm3 Tm 0.2540 0.2540 0.7811
Tm4 Tm 0.2540 0.7811 0.2540
Tm5 Tm 0.7460 0.2189 0.7460
Tm6 Tm 0.7460 0.7460 0.2189
Tm7 Tm 0.7811 0.2540 0.2540
Tm8 Tm 0.7887 0.7887 0.7887
Mg1 Mg 0.5000 0.5000 0.5000
```

Top 10 peaks for 2θ from 10° to 80°, in order of falling intensity:
2θ (°)	d [Å]	intensity
32.07	2.791	100
33.49	2.676	49
28.44	3.138	35
39.11	2.303	32
52.13	1.754	31
60.46	1.531	24
29.57	3.021	24
51.73	1.767	18
62.53	1.485	14
30.08	2.971	12



# 2
Starting from a cell relaxed with PBE, the PXRD pattern of CeSmAsO2 was simulated for CuKα.
No peak broadening, texture or thermal motion is included.

```
data_CeSmAsO2
_space_group_name_H-M_alt 'P 1'
_space_group_IT_number 1
_cell_length_a 3.8814
_cell_length_b 3.8814
_cell_length_c 12.4158
_cell_angle_alpha 90.00
_cell_angle_beta 90.00
_cell_angle_gamma 90.00
loop_
_space_group_symop_operation_xyz
'x,y,z'
loop_
_atom_site_label
_atom_site_type_symbol
_atom_site_fract_x
_atom_site_fract_y
_atom_site_fract_z
Ce1 Ce 0.0000 0.0000 0.0000
Ce2 Ce 0.5000 0.5000 0.5000
Sm1 Sm 0.0000 0.0000 0.3009
Sm2 Sm 0.5000 0.5000 0.8009
As1 As 0.0000 0.0000 0.6473
As2 As 0.5000 0.5000 0.1473
O1 O 0.0000 0.5000 0.4037
O2 O 0.0000 0.5000 0.9037
O3 O 0.5000 0.0000 0.4037
O4 O 0.5000 0.0000 0.9037
```

Top 10 peaks for 2θ from 10° to 80°, in order of falling intensity:
2θ (°)	d [Å]	intensity
31.60	2.831	100
32.63	2.745	41
57.58	1.601	36
46.81	1.941	21
55.62	1.652	19
24.02	3.705	14
44.04	2.056	11
65.99	1.416	8
77.26	1.235	8
77.82	1.227	7